1.
KGa2Pt2: simulated X-ray powder pattern (a wavelength of 1.5418 Å), based on DFT lattice parameters and positions (PBE).
Neutral-atom scattering factors, no anomalous dispersion.

Atomic structure:
```
KGa2Pt2
1.0
0.0000 5.5808 6.4340
3.1632 0.0000 6.4340
3.1632 5.5808 0.0000
K Ga Pt
2 4 4
Direct
0.1250 0.1250 0.1250
0.8750 0.8750 0.8750
0.1896 0.5604 0.1896
0.4396 0.8104 0.4396
0.5604 0.1896 0.5604
0.8104 0.4396 0.8104
0.2613 0.2613 0.4887
0.4887 0.4887 0.2613
0.5113 0.5113 0.7387
0.7387 0.7387 0.5113
```

Most intense lines, 2θ = 5–70°, by angle:
2θ 17.53, d = 5.060 Å, I = 1000
2θ 26.34, d = 3.383 Å, I = 150
2θ 31.52, d = 2.839 Å, I = 154
2θ 32.08, d = 2.790 Å, I = 216
2θ 32.54, d = 2.752 Å, I = 249
2θ 34.93, d = 2.569 Å, I = 297
2θ 38.62, d = 2.331 Å, I = 165
2θ 43.26, d = 2.091 Å, I = 409
2θ 43.56, d = 2.078 Å, I = 158
2θ 45.17, d = 2.007 Å, I = 268

***

2.
Np2Sb3Au: simulated X-ray powder pattern (a wavelength of 1.5418 Å), based on DFT lattice parameters and positions (PBE).
Neutral-atom scattering factors, no anomalous dispersion.

Atomic structure:
```
Np2Sb3Au
1.0
3.1254 0.0000 0.0000
0.0000 5.6192 0.0000
0.0000 0.0000 8.7215
Np Sb Au
2 3 1
Direct
0.0000 0.0000 0.0000
0.0000 0.5000 0.3958
0.5000 0.0000 0.3247
0.5000 0.0000 0.6803
0.5000 0.5000 0.0506
0.5000 0.5000 0.7116
```

Most intense lines, 2θ = 5–70°, by angle:
2θ 18.79, d = 4.724 Å, I = 280
2θ 30.76, d = 2.907 Å, I = 618
2θ 31.85, d = 2.810 Å, I = 743
2θ 34.41, d = 2.607 Å, I = 1000
2θ 34.74, d = 2.582 Å, I = 264
2θ 35.33, d = 2.540 Å, I = 448
2θ 38.91, d = 2.315 Å, I = 352
2θ 44.86, d = 2.020 Å, I = 443
2θ 48.30, d = 1.884 Å, I = 376
2θ 53.80, d = 1.704 Å, I = 273

***

3.
ScFeCoGe3: simulated X-ray powder pattern (a wavelength of 1.5418 Å), based on DFT lattice parameters and positions (PBE).
Neutral-atom scattering factors, no anomalous dispersion.

Atomic structure:
```
ScFeCoGe3
1.0
2.8849 -5.3806 0.0000
2.8849 5.3806 0.0000
0.0000 0.0000 6.3060
Sc Fe Co Ge
2 2 2 6
Direct
0.2192 0.7808 0.7500
0.7808 0.2192 0.2500
0.1137 0.8863 0.2500
0.8863 0.1137 0.7500
0.4462 0.5538 0.7500
0.5538 0.4462 0.2500
0.2225 0.2225 0.0000
0.2225 0.2225 0.5000
0.3240 0.6760 0.2500
0.6760 0.3240 0.7500
0.7775 0.7775 0.0000
0.7775 0.7775 0.5000
```

Most intense lines, 2θ = 5–70°, by angle:
2θ 16.48, d = 5.381 Å, I = 558
2θ 32.93, d = 2.720 Å, I = 456
2θ 35.30, d = 2.543 Å, I = 340
2θ 36.30, d = 2.474 Å, I = 350
2θ 42.47, d = 2.128 Å, I = 1000
2θ 44.26, d = 2.047 Å, I = 206
2θ 46.14, d = 1.968 Å, I = 165
2θ 47.33, d = 1.921 Å, I = 259
2θ 48.47, d = 1.878 Å, I = 296
2θ 58.55, d = 1.576 Å, I = 193

***

4.
Rb3SiS3: simulated X-ray powder pattern (a wavelength of 1.5418 Å), based on DFT lattice parameters and positions (PBE).
Neutral-atom scattering factors, no anomalous dispersion.

Atomic structure:
```
Rb3SiS3
1.0
9.7454 -3.5626 0.0000
9.7454 3.5626 0.0000
0.0000 0.0000 13.1425
Rb Si S
12 4 12
Direct
0.0251 0.3298 0.8690
0.1358 0.8642 0.8329
0.1702 0.4749 0.6310
0.3298 0.0251 0.1310
0.3642 0.6358 0.3329
0.4749 0.1702 0.3690
0.5251 0.8298 0.6310
0.6358 0.3642 0.6671
0.6702 0.9749 0.8690
0.8298 0.5251 0.3690
0.8642 0.1358 0.1671
0.9749 0.6702 0.1310
0.0807 0.0807 0.5000
0.4193 0.4193 0.0000
0.5807 0.5807 0.0000
0.9193 0.9193 0.5000
0.0023 0.7047 0.3909
0.2014 0.7986 0.5794
0.2047 0.5023 0.8909
0.2953 0.9977 0.3909
0.2986 0.7014 0.0794
0.4977 0.7953 0.8909
0.5023 0.2047 0.1091
0.7014 0.2986 0.9206
0.7047 0.0023 0.6091
0.7953 0.4977 0.1091
0.7986 0.2014 0.4206
0.9977 0.2953 0.6091
```

Most intense lines, 2θ = 5–70°, by angle:
2θ 22.94, d = 3.876 Å, I = 409
2θ 24.28, d = 3.665 Å, I = 305
2θ 26.94, d = 3.310 Å, I = 200
2θ 27.14, d = 3.286 Å, I = 348
2θ 27.48, d = 3.245 Å, I = 1000
2θ 31.85, d = 2.809 Å, I = 293
2θ 33.04, d = 2.711 Å, I = 191
2θ 37.44, d = 2.402 Å, I = 147
2θ 39.00, d = 2.310 Å, I = 331
2θ 49.52, d = 1.841 Å, I = 148

***

5.
Na16Tl12Sb: simulated X-ray powder pattern (a wavelength of 1.5418 Å), based on DFT lattice parameters and positions (PBE).
Neutral-atom scattering factors, no anomalous dispersion.

Atomic structure:
```
Na16Tl12Sb
1.0
6.0123 -8.3493 0.0000
6.0123 8.3493 0.0000
-5.6781 0.0000 8.5853
Na Tl Sb
16 12 1
Direct
0.0000 0.0000 0.0000
0.0032 0.6449 0.0078
0.2692 0.5642 0.5650
0.2891 0.2891 0.7002
0.3220 0.6983 0.3020
0.3435 0.3435 0.3005
0.4036 0.9907 0.6742
0.4211 0.6650 0.0108
0.5642 0.2692 0.5650
0.6449 0.0032 0.0078
0.6650 0.4211 0.0108
0.6851 0.9949 0.4071
0.6983 0.3220 0.3020
0.9856 0.9856 0.6468
0.9907 0.4036 0.6742
0.9949 0.6851 0.4071
0.1619 0.3567 0.9716
0.1865 0.9905 0.3674
0.2021 0.7878 0.7990
0.3567 0.1619 0.9716
0.3724 0.9789 0.1749
0.6029 0.6029 0.7986
0.6281 0.8276 0.6461
0.7878 0.2021 0.7990
0.8095 0.8095 0.1752
0.8276 0.6281 0.6461
0.9789 0.3724 0.1749
0.9905 0.1865 0.3674
0.6375 0.6375 0.3370
```

Most intense lines, 2θ = 5–70°, by angle:
2θ 17.70, d = 5.010 Å, I = 526
2θ 18.21, d = 4.871 Å, I = 1000
2θ 18.38, d = 4.828 Å, I = 421
2θ 31.69, d = 2.824 Å, I = 381
2θ 32.05, d = 2.792 Å, I = 263
2θ 34.16, d = 2.625 Å, I = 306
2θ 35.25, d = 2.546 Å, I = 451
2θ 35.52, d = 2.528 Å, I = 570
2θ 38.12, d = 2.361 Å, I = 291
2θ 38.76, d = 2.323 Å, I = 269

***

6.
DyTmPu2N4: simulated X-ray powder pattern (a wavelength of 1.5418 Å), based on DFT lattice parameters and positions (PBE).
Neutral-atom scattering factors, no anomalous dispersion.

Atomic structure:
```
DyTmPu2N4
1.0
5.9654 0.0000 0.0000
0.0000 3.4673 0.0000
-2.0148 0.0000 5.6599
Dy Tm Pu N
1 1 2 4
Direct
0.0000 0.0000 0.0000
0.0000 0.5000 0.5000
0.5000 0.0000 0.5000
0.5000 0.5000 0.0000
0.2531 0.0000 0.7478
0.2554 0.5000 0.2552
0.7446 0.5000 0.7448
0.7469 0.0000 0.2522
```

Most intense lines, 2θ = 5–70°, by angle:
2θ 15.77, d = 5.620 Å, I = 58
2θ 31.63, d = 2.829 Å, I = 1000
2θ 31.85, d = 2.810 Å, I = 328
2θ 36.74, d = 2.446 Å, I = 889
2θ 52.80, d = 1.734 Å, I = 314
2θ 53.09, d = 1.725 Å, I = 308
2θ 62.86, d = 1.478 Å, I = 152
2θ 62.99, d = 1.476 Å, I = 301
2θ 63.25, d = 1.470 Å, I = 149
2θ 66.05, d = 1.415 Å, I = 160

***

7.
Nd2Th8O19: simulated X-ray powder pattern (a wavelength of 1.5418 Å), based on DFT lattice parameters and positions (PBE).
Neutral-atom scattering factors, no anomalous dispersion.

Atomic structure:
```
Nd2Th8O19
1.0
3.9742 0.0000 0.0000
0.0000 3.9742 0.0000
0.0000 0.0000 28.1478
Nd Th O
2 8 19
Direct
0.0000 0.5000 0.0562
0.5000 0.0000 0.9438
0.0000 0.5000 0.2505
0.0000 0.5000 0.4501
0.0000 0.5000 0.6497
0.0000 0.5000 0.8494
0.5000 0.0000 0.1506
0.5000 0.0000 0.3503
0.5000 0.0000 0.5499
0.5000 0.0000 0.7495
0.0000 0.0000 0.0000
0.0000 0.0000 0.1053
0.0000 0.0000 0.2028
0.0000 0.0000 0.3014
0.0000 0.0000 0.4006
0.0000 0.0000 0.5000
0.0000 0.0000 0.5994
0.0000 0.0000 0.6986
0.0000 0.0000 0.7972
0.0000 0.0000 0.8947
0.5000 0.5000 0.0955
0.5000 0.5000 0.1982
0.5000 0.5000 0.2994
0.5000 0.5000 0.3998
0.5000 0.5000 0.5000
0.5000 0.5000 0.6002
0.5000 0.5000 0.7006
0.5000 0.5000 0.8018
0.5000 0.5000 0.9045
```

Most intense lines, 2θ = 5–70°, by angle:
2θ 6.28, d = 14.074 Å, I = 36
2θ 9.43, d = 9.383 Å, I = 12
2θ 27.47, d = 3.247 Å, I = 1000
2θ 29.46, d = 3.032 Å, I = 8
2θ 31.83, d = 2.812 Å, I = 366
2θ 45.63, d = 1.988 Å, I = 500
2θ 54.09, d = 1.696 Å, I = 470
2θ 56.70, d = 1.623 Å, I = 107
2θ 66.43, d = 1.407 Å, I = 25
2θ 66.55, d = 1.405 Å, I = 54

***

8.
La5Pm4Th2: simulated X-ray powder pattern (a wavelength of 1.5418 Å), based on DFT lattice parameters and positions (PBE).
Neutral-atom scattering factors, no anomalous dispersion.

Atomic structure:
```
La5Pm4Th2
1.0
9.1182 0.0000 0.0000
0.0000 3.5437 0.0000
-0.8302 0.0000 12.0261
La Pm Th
5 4 2
Direct
0.0000 0.0000 0.0000
0.0857 0.0000 0.2860
0.3049 0.0000 0.8263
0.6951 0.0000 0.1737
0.9143 0.0000 0.7140
0.2002 0.5000 0.5487
0.3468 0.5000 0.1029
0.6532 0.5000 0.8971
0.7998 0.5000 0.4513
0.4514 0.0000 0.3693
0.5486 0.0000 0.6307
```

Most intense lines, 2θ = 5–70°, by angle:
2θ 28.20, d = 3.164 Å, I = 165
2θ 29.89, d = 2.989 Å, I = 516
2θ 30.56, d = 2.925 Å, I = 245
2θ 30.70, d = 2.912 Å, I = 1000
2θ 31.23, d = 2.864 Å, I = 210
2θ 32.02, d = 2.795 Å, I = 191
2θ 33.21, d = 2.698 Å, I = 190
2θ 34.81, d = 2.577 Å, I = 165
2θ 48.55, d = 1.875 Å, I = 166
2θ 61.23, d = 1.514 Å, I = 282